1.
Simulated powder diffraction line list of CoMo2Os for Cu Kα, 1.54184 Å, from a GGA-PBE-relaxed structure.

Principal peaks in the range 2θ = 15–90°, by intensity:
hkl 1 1 2, d = 2.215 Å, I = 100; hkl 2 0 0, d = 1.928 Å, I = 33; hkl 1 0 1, d = 3.439 Å, I = 25; hkl 3 1 2, d = 1.161 Å, I = 25; hkl 2 0 4, d = 1.353 Å, I = 20; hkl 0 0 4, d = 1.900 Å, I = 16; hkl 1 1 6, d = 1.149 Å, I = 12; hkl 2 2 4, d = 1.108 Å, I = 11; hkl 2 2 0, d = 1.363 Å, I = 10; hkl 2 1 1, d = 1.682 Å, I = 7

Crystal structure
abc: 3.856 3.856 7.600
angles: 90.00 90.00 90.00
Fractional coordinates of all 8 atoms:
Co 0.000 0.000 0.000
Co 0.500 0.500 0.500
Mo 0.000 0.500 0.250
Mo 0.000 0.500 0.750
Mo 0.500 0.000 0.250
Mo 0.500 0.000 0.750
Os 0.000 0.000 0.500
Os 0.500 0.500 0.000

=====

2.
Simulated powder diffraction line list of CoMoOs for Cu Kα, 1.54184 Å, from a GGA-PBE-relaxed structure.

Principal peaks in the range 2θ = 15–90°, by intensity:
hkl 1 3 1, d = 2.053 Å, I = 100; hkl 0 6 1, d = 2.039 Å, I = 45; hkl 0 0 2, d = 2.156 Å, I = 39; hkl 1 3 0, d = 2.334 Å, I = 23; hkl 0 4 1, d = 2.704 Å, I = 19; hkl 1 3 3, d = 1.224 Å, I = 18; hkl 1 9 2, d = 1.138 Å, I = 18; hkl 1 1 1, d = 2.260 Å, I = 16; hkl 1 9 0, d = 1.340 Å, I = 15; hkl 1 3 2, d = 1.584 Å, I = 14

Crystal structure
abc: 2.703 13.883 4.312
angles: 90.00 90.00 90.00
Fractional coordinates of all 12 atoms:
Co 0.000 0.057 0.250
Co 0.000 0.943 0.750
Co 0.500 0.443 0.750
Co 0.500 0.557 0.250
Mo 0.000 0.398 0.250
Mo 0.000 0.602 0.750
Mo 0.500 0.102 0.750
Mo 0.500 0.898 0.250
Os 0.000 0.281 0.750
Os 0.000 0.719 0.250
Os 0.500 0.219 0.250
Os 0.500 0.781 0.750

=====

3.
Simulated powder diffraction line list of CoMo2Os3 for Cu Kα, 1.54184 Å, from a GGA-PBE-relaxed structure.

Principal peaks in the range 2θ = 15–90°, by intensity:
hkl 2 1 -2, d = 2.088 Å, I = 100; hkl 0 2 0, d = 2.187 Å, I = 26; hkl 0 0 3, d = 2.376 Å, I = 24; hkl 4 2 -1, d = 1.162 Å, I = 20; hkl 2 3 -2, d = 1.242 Å, I = 19; hkl 0 2 3, d = 1.609 Å, I = 15; hkl 4 0 -1, d = 1.372 Å, I = 11; hkl 0 1 6, d = 1.146 Å, I = 10; hkl 0 1 1, d = 3.727 Å, I = 6; hkl 2 0 4, d = 1.371 Å, I = 6

Crystal structure
abc: 5.488 4.373 7.258
angles: 90.00 100.98 90.00
Fractional coordinates of all 12 atoms:
Co 0.129 0.250 0.057
Co 0.871 0.750 0.943
Mo 0.190 0.750 0.269
Mo 0.307 0.250 0.726
Mo 0.693 0.750 0.274
Mo 0.810 0.250 0.731
Os 0.024 0.750 0.617
Os 0.356 0.750 0.946
Os 0.466 0.250 0.384
Os 0.534 0.750 0.616
Os 0.644 0.250 0.054
Os 0.976 0.250 0.383

=====

4.
Simulated powder diffraction line list of CoMo2Os for Cu Kα, 1.54184 Å, from a GGA-PBE-relaxed structure.

Principal peaks in the range 2θ = 15–90°, by intensity:
hkl 0 2 1, d = 2.232 Å, I = 100; hkl 2 2 0, d = 2.210 Å, I = 97; hkl 1 1 0, d = 4.419 Å, I = 45; hkl 2 0 -1, d = 1.934 Å, I = 32; hkl 2 0 1, d = 1.929 Å, I = 32; hkl 0 4 0, d = 1.907 Å, I = 31; hkl 4 0 0, d = 1.356 Å, I = 30; hkl 2 4 -1, d = 1.358 Å, I = 20; hkl 1 1 1, d = 2.336 Å, I = 18; hkl 2 2 2, d = 1.167 Å, I = 13

Crystal structure
abc: 5.423 7.626 2.752
angles: 90.00 90.16 90.00
Fractional coordinates of all 8 atoms:
Co 0.000 0.000 0.000
Co 0.500 0.500 0.000
Mo 0.250 0.250 0.500
Mo 0.250 0.750 0.500
Mo 0.750 0.250 0.500
Mo 0.750 0.750 0.500
Os 0.000 0.500 0.000
Os 0.500 0.000 0.000

=====

5.
Simulated powder diffraction line list of Co2MoP for Cu Kα, 1.54184 Å, from a GGA-PBE-relaxed structure.

Principal peaks in the range 2θ = 15–90°, by intensity:
hkl 4 2 0, d = 2.261 Å, I = 100; hkl 2 1 2, d = 2.058 Å, I = 98; hkl 2 2 1, d = 2.414 Å, I = 57; hkl 6 0 1, d = 1.964 Å, I = 54; hkl 3 2 1, d = 2.230 Å, I = 49; hkl 2 0 2, d = 2.178 Å, I = 37; hkl 6 3 2, d = 1.263 Å, I = 32; hkl 2 3 1, d = 1.832 Å, I = 30; hkl 5 1 1, d = 2.134 Å, I = 28; hkl 1 3 1, d = 1.889 Å, I = 28

Crystal structure
abc: 13.017 6.288 4.622
angles: 90.00 90.00 90.00
Fractional coordinates of all 32 atoms:
Co 0.036 0.055 0.242
Co 0.036 0.445 0.242
Co 0.214 0.554 0.456
Co 0.214 0.946 0.456
Co 0.286 0.054 0.956
Co 0.286 0.446 0.956
Co 0.464 0.555 0.742
Co 0.464 0.945 0.742
Co 0.536 0.055 0.258
Co 0.536 0.445 0.258
Co 0.714 0.554 0.044
Co 0.714 0.946 0.044
Co 0.786 0.054 0.544
Co 0.786 0.446 0.544
Co 0.964 0.555 0.758
Co 0.964 0.945 0.758
Mo 0.110 0.250 0.764
Mo 0.138 0.750 0.953
Mo 0.362 0.250 0.453
Mo 0.390 0.750 0.264
Mo 0.610 0.250 0.736
Mo 0.638 0.750 0.547
Mo 0.862 0.250 0.047
Mo 0.890 0.750 0.236
P 0.068 0.750 0.463
P 0.184 0.250 0.247
P 0.316 0.750 0.747
P 0.432 0.250 0.963
P 0.568 0.750 0.037
P 0.684 0.250 0.253
P 0.816 0.750 0.753
P 0.932 0.250 0.537

=====

6.
Simulated powder diffraction line list of CoMo2Pt for Cu Kα, 1.54184 Å, from a GGA-PBE-relaxed structure.

Principal peaks in the range 2θ = 15–90°, by intensity:
hkl 1 1 1, d = 2.081 Å, I = 100; hkl 0 1 2, d = 2.114 Å, I = 54; hkl 0 2 0, d = 2.187 Å, I = 38; hkl 1 0 1, d = 2.366 Å, I = 31; hkl 1 2 3, d = 1.170 Å, I = 20; hkl 0 1 0, d = 4.374 Å, I = 19; hkl 1 2 1, d = 1.606 Å, I = 19; hkl 1 3 1, d = 1.241 Å, I = 18; hkl 1 0 3, d = 1.384 Å, I = 17; hkl 0 0 1, d = 4.828 Å, I = 16

Crystal structure
abc: 2.714 4.374 4.828
angles: 90.00 90.00 90.00
Fractional coordinates of all 4 atoms:
Co 0.000 0.000 0.000
Mo 0.500 0.000 0.513
Mo 0.500 0.500 0.848
Pt 0.000 0.500 0.333